1.
The following is a theoretical X-ray powder pattern of La5Pr2Ho2. It was derived from a crystal structure in Alexandria, relaxed with PBE, using Cu Kα X-rays.
No peak broadening, texture or thermal motion is included.

Most intense lines, 2θ from 5° to 70°, in order of rising 2θ:
d_spacing	I (rel.)	h k l
3.091	67	2 1 1
2.947	100	0 2 1
2.934	86	1 0 -2
2.914	83	1 -1 2
2.861	80	1 1 3
2.853	82	1 2 -1
2.189	25	2 -1 0
1.964	27	0 1 -4

Lattice parameters (Å, degrees): 6.190 6.804 8.903 80.12 70.83 65.70
Space group P-1 (No. 2)
Inequivalent atoms, fractional coordinates:
La1 0.000 0.000 0.000 [1 per cell]
La2 0.269 0.674 0.652 [2 per cell]
La3 0.377 0.866 0.244 [2 per cell]
Pr1 0.263 0.418 0.121 [2 per cell]
Ho1 0.179 0.234 0.554 [2 per cell]


2.
The following is a theoretical X-ray powder pattern of LaPr3Ho3. It was derived from a crystal structure in Alexandria, relaxed with PBE, using Cu Kα X-rays.
No peak broadening, texture or thermal motion is included.

Most intense lines, 2θ from 5° to 70°, in order of rising 2θ:
d_spacing	I (rel.)	h k l
3.193	24	1 2 0
2.928	25	0 0 2
2.803	100	1 2 1
2.158	16	1 2 2
1.843	19	4 1 0
1.665	21	1 2 3
1.560	23	4 1 2
1.540	16	2 4 1

Lattice parameters (Å, degrees): 9.7539 9.7539 5.8555 90.00 90.00 120.00
Space group P6_3/m (No. 176)
Inequivalent atoms, fractional coordinates:
La1 0.3333 0.6667 0.2500 [2 per cell]
Pr1 0.0953 0.6216 0.7500 [6 per cell]
Ho1 0.0451 0.8147 0.2500 [6 per cell]